# Ho2B6Ru
Computed powder diffraction line list, Cu Kα. Input: DFT lattice parameters and positions (PBE).
Neutral-atom scattering factors, no anomalous dispersion.

Structure:
a = 9.1194 Å, b = 11.4874 Å, c = 3.6533 Å
α = 90.00°, β = 90.00°, γ = 90.00°
Space group Pbam (No. 55)
Inequivalent atoms, fractional coordinates:
Ho 0.0557 0.1274 0.0000
Ho 0.1778 0.4142 0.0000
B 0.0158 0.2871 0.5000
B 0.0542 0.5669 0.5000
B 0.1098 0.9699 0.5000
B 0.1324 0.8150 0.5000
B 0.2086 0.2335 0.5000
B 0.2484 0.5799 0.5000
Ru 0.1385 0.6790 0.0000

Principal peaks in the range 10° ≤ 2θ ≤ 80°, sorted by position:
24.36°, d = 3.653 Å, rel. 100, hkl 0 0 1
30.45°, d = 2.936 Å, rel. 75, hkl 3 1 0
31.14°, d = 2.872 Å, rel. 26, hkl 0 4 0
33.35°, d = 2.687 Å, rel. 26, hkl 3 2 0
39.37°, d = 2.288 Å, rel. 93, hkl 3 1 1
39.93°, d = 2.258 Å, rel. 32, hkl 0 4 1
41.19°, d = 2.192 Å, rel. 32, hkl 1 4 1
41.73°, d = 2.164 Å, rel. 34, hkl 3 2 1